Structure and theoretical XRD peak list of LiCo3OF5 (a DFT-relaxed cell (PBE+U, Alexandria); Cu Kα, 1.54184 Å).
Lines closer than 0.1° are merged.

Structural model:
Cell: 5.1477 5.1480 5.4960 Å, 71.32 72.36 76.88°
Fractional positions:
Li 0.0000 0.0000 0.0000
Co 0.1034 0.5990 0.6239
Co 0.4840 0.4826 0.0360
Co 0.5921 0.1091 0.6253
O 0.4086 0.4200 0.4013
F 0.2667 0.2642 0.9399
F 0.3125 0.8139 0.7686
F 0.7768 0.7766 0.9021
F 0.8102 0.3176 0.7684
F 0.9028 0.9157 0.3743

Top 6 peaks for 10° ≤ 2θ ≤ 90°, low angle first:
two_theta, I (rel.), index
17.59, 100, 0 0 1
23.50, 73, 1 1 1
24.06, 89, 1 1 0
32.92, 74, -1 1 1
33.39, 78, 1 -1 1
44.99, 60, 2 2 1